Diffraction record for MnAgMo2. The powder X-ray diffraction pattern is computed, not measured: it uses a structure optimized by DFT (GGA-PBE) and copper Kα.
No peak broadening, texture or thermal motion is included.

Largest 12 diffraction maxima, sorted by position, 10° ≤ 2θ ≤ 90°:
2θ/deg  d [Å]  I_rel  hkl
26.95  3.308  17.8  0 1 1
39.47  2.283  100.0  0 1 2
40.19  2.244  96.1  1 1 0
43.54  2.078  39.7  0 2 0
44.00  2.058  38.4  1 0 -2
51.12  1.787  19.4  1 0 2
63.63  1.462  24.3  1 2 -2
69.35  1.355  14.9  1 2 2
77.19  1.236  13.0  0 3 2
77.37  1.233  12.7  1 1 -4
77.66  1.229  13.0  1 3 0
78.78  1.215  12.6  2 1 -2

Crystal structure
```
data_MnAgMo2
_cell_length_a 2.693
_cell_length_b 4.157
_cell_length_c 5.519
_cell_angle_alpha 90.00
_cell_angle_beta 98.06
_cell_angle_gamma 90.00
_space_group_name_H-M_alt 'P 1 2/m 1'
_space_group_IT_number 10
_space_group_name_Hall '-P 2y'
loop_
_atom_site_label
_atom_site_type_symbol
_atom_site_fract_x
_atom_site_fract_y
_atom_site_fract_z
_atom_site_occupancy
Mn1 Mn 0.000 0.000 0.000 1
Ag1 Ag 0.000 0.000 0.500 1
Mo1 Mo 0.452 0.500 0.223 1
```